Record 1
Diffraction record for Ac3IrPb. The powder diffractogram is theoretical, not measured: it uses a crystal structure in Alexandria, relaxed with PBE and Cu Kα (λ = 1.5418 Å).
No peak broadening, texture or thermal motion is included.

Principal peaks in the range 5 to 70 degrees two-theta, in order of rising 2θ:
hkl 1 1 3, 3.325 Å, 2θ 26.81, I = 531
hkl 2 1 1, 3.254 Å, 2θ 27.41, I = 614
hkl 2 1 2, 3.074 Å, 2θ 29.05, I = 1000
hkl 1 0 5, 3.062 Å, 2θ 29.17, I = 817
hkl 0 1 5, 2.674 Å, 2θ 33.51, I = 265
hkl 0 2 0, 2.364 Å, 2θ 38.07, I = 426
hkl 3 1 4, 2.188 Å, 2θ 41.25, I = 192
hkl 1 1 7, 2.029 Å, 2θ 44.66, I = 376
hkl 1 2 5, 1.871 Å, 2θ 48.66, I = 453
hkl 3 0 9, 1.559 Å, 2θ 59.26, I = 175

Structure:
```
data_Ac3IrPb
_chemical_formula_sum 'Ac12 Ir4 Pb4'
_symmetry_space_group_name_H-M 'P n m a'
_symmetry_Int_Tables_number 62
_cell_length_a 9.338
_cell_length_b 4.728
_cell_length_c 16.213
_cell_angle_alpha 90.00
_cell_angle_beta 90.00
_cell_angle_gamma 90.00
loop_
_symmetry_equiv_pos_as_xyz
'x,y,z'
'-x,-y,-z'
'-x+1/2,-y,z+1/2'
'x+1/2,y,-z+1/2'
'x+1/2,-y+1/2,-z+1/2'
'-x+1/2,y+1/2,z+1/2'
'-x,y+1/2,-z'
'x,-y+1/2,z'
loop_
_atom_site_label
_atom_site_type_symbol
_atom_site_fract_x
_atom_site_fract_y
_atom_site_fract_z
Ac1 Ac 0.024 0.250 0.107
Ac2 Ac 0.160 0.250 0.504
Ac3 Ac 0.194 0.750 0.288
Ir1 Ir 0.164 0.250 0.942
Pb1 Pb 0.086 0.750 0.673
```



Record 2
Diffraction record for Ac2IrPd2. The powder diffractogram is theoretical, not measured: it uses a crystal structure in Alexandria, relaxed with PBE and Cu Kα (λ = 1.5418 Å).
No peak broadening, texture or thermal motion is included.

Principal peaks in the range 5 to 70 degrees two-theta, in order of rising 2θ:
hkl 0 0 4, 3.677 Å, 2θ 24.20, I = 173
hkl 1 1 1, 2.869 Å, 2θ 31.17, I = 1000
hkl 1 0 4, 2.724 Å, 2θ 32.88, I = 506
hkl 1 1 3, 2.512 Å, 2θ 35.74, I = 589
hkl 0 1 5, 2.414 Å, 2θ 37.24, I = 510
hkl 0 2 0, 2.113 Å, 2θ 42.80, I = 271
hkl 2 0 0, 2.027 Å, 2θ 44.71, I = 252
hkl 1 2 4, 1.669 Å, 2θ 55.01, I = 240
hkl 2 1 5, 1.552 Å, 2θ 59.55, I = 263
hkl 2 2 0, 1.463 Å, 2θ 63.62, I = 169

Structure:
```
data_Ac2IrPd2
_chemical_formula_sum 'Ac4 Ir2 Pd4'
_symmetry_space_group_name_H-M 'A m m 2'
_symmetry_Int_Tables_number 38
_cell_length_a 4.053
_cell_length_b 4.225
_cell_length_c 14.710
_cell_angle_alpha 90.00
_cell_angle_beta 90.00
_cell_angle_gamma 90.00
loop_
_symmetry_equiv_pos_as_xyz
'x,y,z'
'-x,-y,z'
'-x,y,z'
'x,-y,z'
'x,y+1/2,z+1/2'
'-x,-y+1/2,z+1/2'
'-x,y+1/2,z+1/2'
'x,-y+1/2,z+1/2'
loop_
_atom_site_label
_atom_site_type_symbol
_atom_site_fract_x
_atom_site_fract_y
_atom_site_fract_z
Ac1 Ac 0.000 0.000 0.000
Ac2 Ac 0.000 0.000 0.255
Ir1 Ir 0.500 0.000 0.440
Pd1 Pd 0.500 0.000 0.629
Pd2 Pd 0.500 0.000 0.821
```



Record 3
Diffraction record for Ac12IrPd6. The powder diffractogram is theoretical, not measured: it uses a crystal structure in Alexandria, relaxed with PBE and Cu Kα (λ = 1.5418 Å).
No peak broadening, texture or thermal motion is included.

Principal peaks in the range 5 to 70 degrees two-theta, in order of rising 2θ:
hkl 3 -1 1, 4.179 Å, 2θ 21.26, I = 342
hkl 1 2 2, 3.665 Å, 2θ 24.29, I = 1000
hkl 2 2 0, 3.364 Å, 2θ 26.50, I = 281
hkl 1 0 4, 3.178 Å, 2θ 28.08, I = 474
hkl 4 -1 2, 2.903 Å, 2θ 30.80, I = 727
hkl 3 -1 4, 2.643 Å, 2θ 33.92, I = 797
hkl 4 1 0, 2.543 Å, 2θ 35.29, I = 777
hkl 0 5 4, 1.904 Å, 2θ 47.76, I = 221
hkl 2 2 6, 1.841 Å, 2θ 49.50, I = 634
hkl 5 1 4, 1.768 Å, 2θ 51.70, I = 200

Structure:
```
data_Ac12IrPd6
_chemical_formula_sum 'Ac36 Ir3 Pd18'
_symmetry_space_group_name_H-M 'R -3'
_symmetry_Int_Tables_number 148
_symmetry_space_group_name_Hall '-R 3'
_cell_length_a 13.4565
_cell_length_b 13.4565
_cell_length_c 13.2125
_cell_angle_alpha 90.00
_cell_angle_beta 90.00
_cell_angle_gamma 120.00
loop_
_atom_site_label
_atom_site_type_symbol
_atom_site_fract_x
_atom_site_fract_y
_atom_site_fract_z
Ac1 Ac 0.0198 0.8175 0.3889
Ac2 Ac 0.0294 0.8334 0.8781
Ir1 Ir 0.0000 0.0000 0.0000
Pd1 Pd 0.0372 0.7717 0.6474
```